Structure and computed powder X-ray diffraction pattern of Na5Fe2P2C2O14 (a crystal structure in Alexandria, relaxed with PBE+U; copper Kα).

Largest 12 diffraction maxima, sorted by position, 15 to 90 degrees two-theta:
- (1 1 0), 16.7°, I = 35
- (1 0 -2), 19.4°, I = 46
- (1 0 2), 19.9°, I = 47
- (2 0 -2), 25.8°, I = 30
- (0 2 0), 27.2°, I = 100
- (3 0 0), 29.9°, I = 35
- (1 2 -2), 33.7°, I = 40
- (2 2 0), 33.9°, I = 43
- (1 2 2), 33.9°, I = 33
- (0 0 4), 34.3°, I = 59
- (3 1 2), 37.6°, I = 27
- (2 1 -4), 41.8°, I = 28

```
data_Na5Fe2P2C2O14
_chemical_formula_sum 'Na10 Fe4 P4 C4 O28'
_cell_length_a 8.9889
_cell_length_b 6.5506
_cell_length_c 10.4594
_cell_angle_alpha 90.00
_cell_angle_beta 91.63
_cell_angle_gamma 90.00
_symmetry_space_group_name_H-M 'P 1'
_symmetry_Int_Tables_number 1
loop_
_symmetry_equiv_pos_as_xyz
'x,y,z'
loop_
_atom_site_label
_atom_site_type_symbol
_atom_site_fract_x
_atom_site_fract_y
_atom_site_fract_z
Na1 Na 0.0000 0.0052 0.0000
Na2 Na 0.0000 0.9948 0.5000
Na3 Na 0.1625 0.4757 0.2277
Na4 Na 0.1625 0.5243 0.7277
Na5 Na 0.3519 0.2517 0.9767
Na6 Na 0.3519 0.7483 0.4767
Na7 Na 0.3543 0.2511 0.4946
Na8 Na 0.3543 0.7489 0.9946
Na9 Na 0.8135 0.2248 0.7372
Na10 Na 0.8135 0.7752 0.2372
Fe1 Fe 0.4408 0.0107 0.2245
Fe2 Fe 0.4408 0.9893 0.7245
Fe3 Fe 0.7471 0.4922 0.5014
Fe4 Fe 0.7471 0.5078 0.0014
P1 P 0.5101 0.4951 0.7505
P2 P 0.5101 0.5049 0.2505
P3 P 0.6709 0.0069 0.9661
P4 P 0.6709 0.9931 0.4661
C1 C 0.0128 0.4943 0.4722
C2 C 0.0128 0.5057 0.9722
C3 C 0.1514 0.0039 0.7552
C4 C 0.1514 0.9961 0.2552
O1 O 0.0136 0.0360 0.7711
O2 O 0.0136 0.9640 0.2711
O3 O 0.1538 0.4984 0.4583
O4 O 0.1538 0.5016 0.9583
O5 O 0.2066 0.0081 0.1404
O6 O 0.2066 0.9919 0.6404
O7 O 0.2437 0.0192 0.3538
O8 O 0.2437 0.9808 0.8538
O9 O 0.4052 0.3070 0.7340
O10 O 0.4052 0.6930 0.2340
O11 O 0.4085 0.3234 0.2108
O12 O 0.4085 0.6766 0.7108
O13 O 0.5223 0.0058 0.0359
O14 O 0.5223 0.9942 0.5359
O15 O 0.5562 0.4874 0.3969
O16 O 0.5562 0.5126 0.8969
O17 O 0.6419 0.0033 0.8205
O18 O 0.6419 0.9967 0.3205
O19 O 0.6498 0.4786 0.6691
O20 O 0.6498 0.5214 0.1691
O21 O 0.7685 0.1999 0.9999
O22 O 0.7685 0.8001 0.4999
O23 O 0.7699 0.1808 0.5094
O24 O 0.7699 0.8192 0.0094
O25 O 0.9159 0.4986 0.3770
O26 O 0.9159 0.5014 0.8770
O27 O 0.9530 0.4859 0.5848
O28 O 0.9530 0.5141 0.0848
```